(1)
# Li2TiFeO4
Calculated XRD peak list, Cu Kα (weighted mean of Kα1 and Kα2). Input: a DFT-relaxed cell (GGA+U, the Materials Project).
Neutral-atom scattering factors, no anomalous dispersion.

Structural model:
abc: 5.9996 6.0001 8.6003
angles: 90.00 90.04 90.04
Space group P1 (No. 1)
Unique sites:
Li 0.0000 0.0000 0.0000 [1 per cell]
Li 0.0014 0.4997 0.5002 [1 per cell]
Li 0.2467 0.7455 0.7592 [1 per cell]
Li 0.2523 0.2444 0.7445 [1 per cell]
Li 0.4998 0.4994 0.5000 [1 per cell]
Li 0.5016 0.9992 0.0001 [1 per cell]
Li 0.7479 0.7536 0.2596 [1 per cell]
Li 0.7542 0.2546 0.2448 [1 per cell]
Ti 0.2470 0.7261 0.2439 [1 per cell]
Ti 0.2543 0.2259 0.2558 [1 per cell]
Ti 0.7465 0.7731 0.7439 [1 per cell]
Ti 0.7530 0.2733 0.7558 [1 per cell]
Fe 0.0002 0.9996 0.5002 [1 per cell]
Fe 0.0002 0.4998 0.0001 [1 per cell]
Fe 0.5001 0.4993 0.0000 [1 per cell]
Fe 0.5000 0.9995 0.5002 [1 per cell]
O 0.0177 0.5077 0.2543 [1 per cell]
O 0.0214 0.0072 0.2455 [1 per cell]
O 0.2502 0.2665 0.0222 [1 per cell]
O 0.2500 0.7593 0.0220 [1 per cell]
O 0.2500 0.7662 0.4770 [1 per cell]
O 0.2507 0.2591 0.4772 [1 per cell]
O 0.4797 0.5072 0.2542 [1 per cell]
O 0.4831 0.0074 0.2456 [1 per cell]
O 0.5173 0.9917 0.7543 [1 per cell]
O 0.5206 0.4921 0.7455 [1 per cell]
O 0.7503 0.2326 0.5222 [1 per cell]
O 0.7505 0.2401 0.9771 [1 per cell]
O 0.7499 0.7327 0.9768 [1 per cell]
O 0.7496 0.7399 0.5220 [1 per cell]
O 0.9794 0.9919 0.7541 [1 per cell]
O 0.9824 0.4917 0.7455 [1 per cell]

Largest 10 diffraction maxima, low angle first, 2θ = 10–90°:
d 4.921, 18.0°, I 100.0, hkl 0 1 1; d 2.587, 34.7°, I 14.0, hkl 0 1 3; d 2.561, 35.0°, I 28.2, hkl 2 1 1; d 2.460, 36.5°, I 15.1, hkl 2 0 -2; d 2.150, 42.0°, I 28.6, hkl 0 0 4; d 2.121, 42.6°, I 55.9, hkl 2 2 0; d 1.959, 46.3°, I 10.4, hkl 2 1 -3; d 1.510, 61.4°, I 29.7, hkl 2 2 -4; d 1.500, 61.9°, I 14.8, hkl 4 0 0; d 1.230, 77.6°, I 12.8, hkl 4 0 -4



(2)
# Mn3Nb2Cr3O16
Calculated XRD peak list, Cu Kα (weighted mean of Kα1 and Kα2). Input: a DFT-relaxed cell (GGA+U, the Materials Project).
Neutral-atom scattering factors, no anomalous dispersion.

Structural model:
abc: 10.1542 5.8471 9.3111
angles: 90.00 90.46 90.00
Space group Cm (No. 8)
Unique sites:
Mn 0.0000 0.0000 0.0000 [2 per cell]
Mn 0.4148 0.2471 0.5022 [4 per cell]
Nb 0.1641 0.0000 0.2859 [2 per cell]
Nb 0.4981 0.0000 0.7859 [2 per cell]
Cr 0.1613 0.5000 0.5023 [2 per cell]
Cr 0.2457 0.2441 0.0045 [4 per cell]
O 0.0661 0.2785 0.6200 [4 per cell]
O 0.0876 0.2171 0.1197 [4 per cell]
O 0.1608 0.0000 0.8950 [2 per cell]
O 0.1632 0.5000 0.8863 [2 per cell]
O 0.2476 0.2506 0.3875 [4 per cell]
O 0.3084 0.0000 0.1255 [2 per cell]
O 0.3297 0.5000 0.0893 [2 per cell]
O 0.3334 0.5000 0.5976 [2 per cell]
O 0.3490 0.0000 0.6171 [2 per cell]
O 0.4143 0.2494 0.8880 [4 per cell]
O 0.4926 0.0000 0.3965 [2 per cell]
O 0.4956 0.5000 0.3886 [2 per cell]

Largest 10 diffraction maxima, low angle first, 2θ = 10–90°:
d 4.655, 19.1°, I 46.9, hkl 0 0 2; d 4.463, 19.9°, I 100.0, hkl 2 0 -1; d 4.443, 20.0°, I 91.7, hkl 1 1 1; d 3.438, 25.9°, I 29.4, hkl 1 1 -2; d 3.420, 26.1°, I 30.3, hkl 2 0 2; d 2.653, 33.8°, I 33.2, hkl 1 1 -3; d 2.641, 33.9°, I 33.6, hkl 1 1 3; d 2.474, 36.3°, I 56.9, hkl 0 2 2; d 2.445, 36.8°, I 53.6, hkl 4 0 1; d 1.465, 63.5°, I 32.4, hkl 6 2 0



(3)
# BaY2NiO5
Calculated XRD peak list, Cu Kα (weighted mean of Kα1 and Kα2). Input: a DFT-relaxed cell (GGA+U, the Materials Project).
Neutral-atom scattering factors, no anomalous dispersion.

Structural model:
abc: 3.8030 5.8177 11.4578
angles: 90.00 90.00 90.00
Space group Immm (No. 71)
Unique sites:
Ba 0.0000 0.0000 0.0000 [2 per cell]
Y 0.0000 0.5000 0.2033 [4 per cell]
Ni 0.0000 0.0000 0.5000 [2 per cell]
O 0.0000 0.2406 0.3506 [8 per cell]
O 0.0000 0.5000 0.0000 [2 per cell]

Largest 10 diffraction maxima, low angle first, 2θ = 10–90°:
d 3.193, 27.9°, I 24.6, hkl 0 1 3; d 2.909, 30.7°, I 27.8, hkl 0 2 0; d 2.864, 31.2°, I 13.0, hkl 0 0 4; d 2.783, 32.2°, I 100.0, hkl 1 1 2; d 2.265, 39.8°, I 15.1, hkl 1 2 1; d 2.041, 44.4°, I 20.5, hkl 0 2 4; d 1.963, 46.3°, I 11.3, hkl 1 0 5; d 1.902, 47.8°, I 15.2, hkl 2 0 0; d 1.654, 55.6°, I 21.2, hkl 1 3 2; d 1.627, 56.6°, I 12.1, hkl 1 2 5



(4)
# MgCo12B4O20
Calculated XRD peak list, Cu Kα (weighted mean of Kα1 and Kα2). Input: a DFT-relaxed cell (GGA+U, the Materials Project).
Neutral-atom scattering factors, no anomalous dispersion.

Structural model:
abc: 9.3521 3.0669 12.9024
angles: 90.00 91.66 90.00
Space group Pm (No. 6)
Unique sites:
Mg 0.0000 0.0000 0.0000 [1 per cell]
Co 0.1634 0.0000 0.4484 [1 per cell]
Co 0.1649 0.0000 0.1874 [1 per cell]
Co 0.1745 0.0000 0.7136 [1 per cell]
Co 0.2229 0.5000 0.9234 [1 per cell]
Co 0.4120 0.5000 0.5570 [1 per cell]
Co 0.4192 0.5000 0.0788 [1 per cell]
Co 0.6453 0.0000 0.2335 [1 per cell]
Co 0.6500 0.0000 0.9437 [1 per cell]
Co 0.6630 0.5000 0.4511 [1 per cell]
Co 0.6753 0.0000 0.6651 [1 per cell]
Co 0.9060 0.5000 0.8066 [1 per cell]
Co 0.9148 0.5000 0.3422 [1 per cell]
B 0.3844 0.5000 0.3146 [1 per cell]
B 0.4531 0.5000 0.7928 [1 per cell]
B 0.8654 0.5000 0.1101 [1 per cell]
B 0.9454 0.5000 0.5824 [1 per cell]
O 0.0158 0.5000 0.4895 [1 per cell]
O 0.0174 0.5000 0.1105 [1 per cell]
O 0.0248 0.5000 0.6751 [1 per cell]
O 0.0410 0.0000 0.3095 [1 per cell]
O 0.0685 0.0000 0.8604 [1 per cell]
O 0.2435 0.0000 0.0306 [1 per cell]
O 0.2828 0.0000 0.5829 [1 per cell]
O 0.3035 0.5000 0.7854 [1 per cell]
O 0.3072 0.5000 0.2197 [1 per cell]
O 0.3118 0.5000 0.4057 [1 per cell]
O 0.5158 0.5000 0.8912 [1 per cell]
O 0.5270 0.5000 0.7020 [1 per cell]
O 0.5322 0.5000 0.3123 [1 per cell]
O 0.5503 0.0000 0.0876 [1 per cell]
O 0.5566 0.0000 0.5232 [1 per cell]
O 0.7753 0.0000 0.8090 [1 per cell]
O 0.7772 0.0000 0.3737 [1 per cell]
O 0.7913 0.5000 0.1973 [1 per cell]
O 0.7972 0.5000 0.5865 [1 per cell]
O 0.8154 0.5000 0.0065 [1 per cell]

Largest 10 diffraction maxima, low angle first, 2θ = 10–90°:
d 5.382, 16.5°, I 24.4, hkl 1 0 -2; d 5.238, 16.9°, I 25.4, hkl 1 0 2; d 2.691, 33.3°, I 59.5, hkl 2 0 -4; d 2.619, 34.2°, I 65.6, hkl 2 0 4; d 2.564, 35.0°, I 100.0, hkl 2 1 0; d 2.222, 40.6°, I 25.5, hkl 0 1 4; d 2.083, 43.4°, I 24.9, hkl 3 1 -2; d 1.965, 46.2°, I 22.8, hkl 3 1 -3; d 1.627, 56.6°, I 25.0, hkl 4 1 -4; d 1.533, 60.4°, I 28.9, hkl 0 2 0



(5)
# Ba2MgMn2CuF14
Calculated XRD peak list, Cu Kα (weighted mean of Kα1 and Kα2). Input: a DFT-relaxed cell (GGA+U, the Materials Project).
Neutral-atom scattering factors, no anomalous dispersion.

Structural model:
abc: 5.3315 7.4755 14.8356
angles: 86.40 89.93 69.14
Space group P1 (No. 1)
Unique sites:
Ba 0.0000 0.0000 0.0000 [1 per cell]
Ba 0.1495 0.0014 0.4998 [1 per cell]
Ba 0.3691 0.2629 0.7531 [1 per cell]
Ba 0.5189 0.2630 0.2534 [1 per cell]
Mg 0.6947 0.6317 0.8767 [1 per cell]
Mg 0.8239 0.6361 0.3768 [1 per cell]
Mn 0.1185 0.8706 0.7531 [1 per cell]
Mn 0.1611 0.8694 0.2530 [1 per cell]
Mn 0.3573 0.3928 0.0001 [1 per cell]
Mn 0.4004 0.3940 0.5001 [1 per cell]
Cu 0.7589 0.6327 0.6269 [1 per cell]
Cu 0.7596 0.6311 0.1267 [1 per cell]
F 0.0690 0.4137 0.9161 [1 per cell]
F 0.1153 0.1261 0.2259 [1 per cell]
F 0.1313 0.4704 0.1164 [1 per cell]
F 0.1391 0.3495 0.5808 [1 per cell]
F 0.1582 0.6392 0.4645 [1 per cell]
F 0.1658 0.6234 0.2885 [1 per cell]
F 0.2079 0.3053 0.3981 [1 per cell]
F 0.3120 0.9573 0.8554 [1 per cell]
F 0.3549 0.6379 0.9640 [1 per cell]
F 0.3597 0.6253 0.7886 [1 per cell]
F 0.3802 0.9157 0.6725 [1 per cell]
F 0.3880 0.7918 0.1367 [1 per cell]
F 0.4021 0.1368 0.0284 [1 per cell]
F 0.4468 0.8491 0.3377 [1 per cell]
F 0.5471 0.4738 0.6159 [1 per cell]
F 0.6120 0.1384 0.5293 [1 per cell]
F 0.6393 0.3054 0.8974 [1 per cell]
F 0.6567 0.7278 0.5020 [1 per cell]
F 0.6625 0.3477 0.0805 [1 per cell]
F 0.6690 0.4154 0.4167 [1 per cell]
F 0.7497 0.5390 0.2521 [1 per cell]
F 0.7694 0.7245 0.0014 [1 per cell]
F 0.8492 0.8501 0.8368 [1 per cell]
F 0.8568 0.9148 0.1725 [1 per cell]
F 0.8614 0.5377 0.7521 [1 per cell]
F 0.8766 0.9522 0.3560 [1 per cell]
F 0.9080 0.1264 0.7242 [1 per cell]
F 0.9714 0.7917 0.6378 [1 per cell]

Largest 10 diffraction maxima, low angle first, 2θ = 10–90°:
d 4.087, 21.7°, I 22.8, hkl 1 0 2; d 3.701, 24.0°, I 28.1, hkl 0 0 4; d 3.503, 25.4°, I 100.0, hkl 1 -1 0; d 3.365, 26.5°, I 27.9, hkl 0 1 4; d 3.232, 27.6°, I 33.8, hkl 1 2 2; d 3.075, 29.0°, I 19.5, hkl 0 2 -2; d 3.005, 29.7°, I 35.8, hkl 1 1 4; d 2.937, 30.4°, I 20.9, hkl 1 1 -4; d 2.321, 38.8°, I 18.7, hkl 0 3 0; d 2.163, 41.8°, I 19.2, hkl 2 1 -4



(6)
# SrCa7Mn6Cr2O20
Calculated XRD peak list, Cu Kα (weighted mean of Kα1 and Kα2). Input: a DFT-relaxed cell (GGA+U, the Materials Project).
Neutral-atom scattering factors, no anomalous dispersion.

Structural model:
abc: 7.6495 7.8592 7.8669
angles: 90.68 91.45 91.53
Space group P1 (No. 1)
Unique sites:
Sr 0.0000 0.0000 0.0000 [1 per cell]
Ca 0.5324 0.4767 0.4808 [1 per cell]
Ca 0.5423 0.0048 0.4731 [1 per cell]
Ca 0.5471 0.4625 0.0101 [1 per cell]
Ca 0.5566 0.0238 0.0246 [1 per cell]
Ca 0.9867 0.4884 0.4941 [1 per cell]
Ca 0.9884 0.4747 0.0047 [1 per cell]
Ca 0.9947 0.9975 0.4872 [1 per cell]
Mn 0.2559 0.2320 0.7497 [1 per cell]
Mn 0.2602 0.2484 0.2559 [1 per cell]
Mn 0.7349 0.7436 0.7540 [1 per cell]
Mn 0.7641 0.2501 0.7506 [1 per cell]
Mn 0.7643 0.7432 0.2605 [1 per cell]
Mn 0.7682 0.2473 0.2577 [1 per cell]
Cr 0.2526 0.7390 0.2270 [1 per cell]
Cr 0.2767 0.7608 0.7813 [1 per cell]
O 0.0144 0.2749 0.7664 [1 per cell]
O 0.0154 0.7559 0.2978 [1 per cell]
O 0.1954 0.6990 0.9863 [1 per cell]
O 0.1992 0.9604 0.7115 [1 per cell]
O 0.2245 0.4930 0.2767 [1 per cell]
O 0.2283 0.2580 0.5014 [1 per cell]
O 0.2480 0.9978 0.2578 [1 per cell]
O 0.2500 0.2535 0.0066 [1 per cell]
O 0.4645 0.6702 0.6926 [1 per cell]
O 0.5052 0.7426 0.2784 [1 per cell]
O 0.5084 0.2640 0.7576 [1 per cell]
O 0.5143 0.2505 0.2563 [1 per cell]
O 0.7382 0.9922 0.7585 [1 per cell]
O 0.7422 0.7459 0.0034 [1 per cell]
O 0.7717 0.0053 0.2539 [1 per cell]
O 0.7732 0.2457 0.0145 [1 per cell]
O 0.7799 0.7497 0.5158 [1 per cell]
O 0.7817 0.2447 0.4966 [1 per cell]
O 0.7848 0.4869 0.2537 [1 per cell]
O 0.7883 0.5064 0.7599 [1 per cell]

Largest 10 diffraction maxima, low angle first, 2θ = 10–90°:
d 2.797, 32.0°, I 47.5, hkl 0 2 -2; d 2.777, 32.2°, I 100.0, hkl 2 -2 0; d 2.761, 32.4°, I 42.1, hkl 0 2 2; d 2.705, 33.1°, I 92.4, hkl 2 2 0; d 1.965, 46.2°, I 76.3, hkl 0 4 0; d 1.911, 47.6°, I 32.6, hkl 4 0 0; d 1.611, 57.2°, I 34.1, hkl -2 2 4; d 1.598, 57.7°, I 15.0, hkl 2 -2 4; d 1.569, 58.8°, I 14.6, hkl 2 2 4; d 1.388, 67.5°, I 17.9, hkl 4 -4 0



(7)
# Li9Mn2Co5O16
Calculated XRD peak list, Cu Kα (weighted mean of Kα1 and Kα2). Input: a DFT-relaxed cell (GGA+U, the Materials Project).
Neutral-atom scattering factors, no anomalous dispersion.

Structural model:
abc: 3.0280 7.8380 12.4734
angles: 89.68 89.80 81.42
Space group P1 (No. 1)
Unique sites:
Li 0.0000 0.0000 0.0000 [1 per cell]
Li 0.0602 0.8735 0.6881 [1 per cell]
Li 0.1220 0.7481 0.3778 [1 per cell]
Li 0.2455 0.5004 0.7473 [1 per cell]
Li 0.3753 0.2493 0.1286 [1 per cell]
Li 0.4995 0.9945 0.5052 [1 per cell]
Li 0.6179 0.7554 0.8710 [1 per cell]
Li 0.7501 0.5002 0.2525 [1 per cell]
Li 0.8741 0.2496 0.6287 [1 per cell]
Mn 0.1792 0.6260 0.0640 [1 per cell]
Mn 0.8146 0.3718 0.9357 [1 per cell]
Co 0.3098 0.3764 0.4412 [1 per cell]
Co 0.4486 0.1112 0.8080 [1 per cell]
Co 0.5539 0.8779 0.1912 [1 per cell]
Co 0.6771 0.6358 0.5671 [1 per cell]
Co 0.9351 0.1267 0.3161 [1 per cell]
O 0.0525 0.9510 0.8412 [1 per cell]
O 0.0710 0.7965 0.5350 [1 per cell]
O 0.1391 0.6926 0.2145 [1 per cell]
O 0.1863 0.5599 0.9125 [1 per cell]
O 0.3036 0.4449 0.5862 [1 per cell]
O 0.3596 0.3095 0.2923 [1 per cell]
O 0.4320 0.1882 0.9561 [1 per cell]
O 0.4576 0.0708 0.6711 [1 per cell]
O 0.5113 0.9452 0.3384 [1 per cell]
O 0.5559 0.8110 0.0419 [1 per cell]
O 0.6622 0.6759 0.7045 [1 per cell]
O 0.7268 0.5591 0.4204 [1 per cell]
O 0.8142 0.4386 0.0870 [1 per cell]
O 0.8212 0.3019 0.7886 [1 per cell]
O 0.9047 0.1893 0.4649 [1 per cell]
O 0.9693 0.0620 0.1661 [1 per cell]

Largest 10 diffraction maxima, low angle first, 2θ = 10–90°:
d 4.847, 18.3°, I 100.0, hkl 0 1 -2; d 2.604, 34.4°, I 18.9, hkl -1 1 1; d 2.512, 35.7°, I 13.7, hkl 1 2 1; d 2.436, 36.9°, I 10.5, hkl 0 2 4; d 2.425, 37.1°, I 8.0, hkl 0 2 -4; d 2.180, 41.4°, I 32.9, hkl 1 -2 1; d 2.086, 43.4°, I 28.3, hkl 1 3 -1; d 2.010, 45.1°, I 23.9, hkl 0 1 6; d 1.513, 61.3°, I 8.5, hkl 2 1 0; d 1.502, 61.7°, I 8.2, hkl 0 5 -2



(8)
# BaLu2NiO5
Calculated XRD peak list, Cu Kα (weighted mean of Kα1 and Kα2). Input: a DFT-relaxed cell (GGA+U, the Materials Project).
Neutral-atom scattering factors, no anomalous dispersion.

Structural model:
abc: 12.1712 5.6525 6.9712
angles: 90.00 90.00 90.00
Space group Pnma (No. 62)
Unique sites:
Ba 0.0973 0.2500 0.0784 [4 per cell]
Lu 0.0738 0.7500 0.4000 [4 per cell]
Lu 0.2083 0.2500 0.6226 [4 per cell]
Ni 0.1561 0.7500 0.8050 [4 per cell]
O 0.0654 0.5014 0.6658 [8 per cell]
O 0.1046 0.7500 0.0794 [4 per cell]
O 0.2250 0.5012 0.3656 [8 per cell]

Largest 10 diffraction maxima, low angle first, 2θ = 10–90°:
d 2.980, 30.0°, I 100.0, hkl 3 1 1; d 2.882, 31.0°, I 77.4, hkl 1 1 2; d 2.826, 31.7°, I 51.6, hkl 0 2 0; d 2.789, 32.1°, I 24.7, hkl 4 0 1; d 1.985, 45.7°, I 33.3, hkl 4 2 1; d 1.931, 47.1°, I 14.8, hkl 3 2 2; d 1.660, 55.4°, I 18.3, hkl 3 3 1; d 1.642, 56.0°, I 14.9, hkl 1 3 2; d 1.546, 59.8°, I 16.8, hkl 4 2 3; d 1.500, 61.8°, I 14.9, hkl 7 1 2